Starting from a GGA-PBE-relaxed structure, the powder diffraction line list of Zr6Ga2Fe was simulated for Cu Kα (weighted mean of Kα1 and Kα2).
Neutral-atom scattering factors, no anomalous dispersion.

Peak list (6 most intense, 2θ = 10–90°, sorted by position)
| 2θ (°) | Rel. int. | index |
| --- | --- | --- |
| 34.8 | 75.0 | 2 1 0 |
| 35.1 | 100.0 | 1 1 1 |
| 37.6 | 77.8 | 2 0 1 |
| 39.6 | 42.8 | 3 0 0 |
| 44.3 | 30.6 | 2 1 1 |
| 65.8 | 33.6 | 3 2 1 |

Structural model:
```
data_Zr6Ga2Fe
_chemical_formula_sum 'Zr6 Ga2 Fe1'
_cell_length_a 7.8857
_cell_length_b 7.8857
_cell_length_c 3.3581
_cell_angle_alpha 90.00
_cell_angle_beta 90.00
_cell_angle_gamma 120.00
_symmetry_space_group_name_H-M 'P -6 2 m'
_symmetry_Int_Tables_number 189
_symmetry_space_group_name_Hall 'P -6 -2'
loop_
_atom_site_label
_atom_site_type_symbol
_atom_site_fract_x
_atom_site_fract_y
_atom_site_fract_z
Zr1 Zr 0.0000 0.2486 0.0000
Zr2 Zr 0.0000 0.5966 0.5000
Ga1 Ga 0.3333 0.6667 0.0000
Fe1 Fe 0.0000 0.0000 0.5000
```

***

Starting from a GGA-PBE-relaxed structure, the powder diffraction line list of Gd2Fe17 was simulated for Cu Kα (weighted mean of Kα1 and Kα2).
Neutral-atom scattering factors, no anomalous dispersion.

Peak list (6 most intense, 2θ = 10–90°, sorted by position)
| 2θ (°) | Rel. int. | index |
| --- | --- | --- |
| 30.1 | 39.1 | 1 1 2 |
| 36.5 | 41.4 | 3 0 0 |
| 40.8 | 27.9 | 2 0 3 |
| 42.4 | 57.9 | 2 2 0 |
| 42.7 | 100.0 | 3 0 2 |
| 43.7 | 30.7 | 0 0 4 |

Structural model:
```
data_Gd2Fe17
_chemical_formula_sum 'Gd4 Fe34'
_cell_length_a 8.5258
_cell_length_b 8.5258
_cell_length_c 8.2798
_cell_angle_alpha 90.00
_cell_angle_beta 90.00
_cell_angle_gamma 120.00
_symmetry_space_group_name_H-M 'P 63/m m c'
_symmetry_Int_Tables_number 194
_symmetry_space_group_name_Hall '-P 6c 2c'
loop_
_atom_site_label
_atom_site_type_symbol
_atom_site_fract_x
_atom_site_fract_y
_atom_site_fract_z
Gd1 Gd 0.0000 0.0000 0.2500
Gd2 Gd 0.3333 0.6667 0.2500
Fe1 Fe 0.0000 0.5000 0.0000
Fe2 Fe 0.0386 0.3677 0.7500
Fe3 Fe 0.1659 0.3318 0.0132
Fe4 Fe 0.3333 0.6667 0.6077
```

***

Starting from a GGA-PBE-relaxed structure, the powder diffraction line list of GdFe2 was simulated for Cu Kα (weighted mean of Kα1 and Kα2).
Neutral-atom scattering factors, no anomalous dispersion.

Peak list (6 most intense, 2θ = 10–90°, sorted by position)
| 2θ (°) | Rel. int. | index |
| --- | --- | --- |
| 21.0 | 15.6 | 1 1 1 |
| 34.7 | 66.9 | 2 2 0 |
| 40.9 | 100.0 | 3 1 1 |
| 62.1 | 24.8 | 4 2 2 |
| 66.3 | 30.5 | 5 1 1 |
| 73.1 | 22.1 | 4 4 0 |

Structural model:
abc: 7.3219 7.3219 7.3219
angles: 90.00 90.00 90.00
Space group Fd-3m (No. 227, origin choice 2)
Symmetry-distinct sites (fractional):
Gd: 0.1250 0.1250 0.1250 (multiplicity 8)
Fe: 0.0000 0.0000 0.5000 (multiplicity 16)

***

Starting from a GGA-PBE-relaxed structure, the powder diffraction line list of Gd6Fe23 was simulated for Cu Kα (weighted mean of Kα1 and Kα2).
Neutral-atom scattering factors, no anomalous dispersion.

Peak list (6 most intense, 2θ = 10–90°, sorted by position)
| 2θ (°) | Rel. int. | index |
| --- | --- | --- |
| 26.2 | 29.7 | 2 2 2 |
| 33.1 | 26.5 | 3 3 1 |
| 37.4 | 29.8 | 4 2 2 |
| 39.7 | 83.5 | 3 3 3 |
| 43.4 | 100.0 | 4 4 0 |
| 64.7 | 23.9 | 7 3 3 |

Structural model:
```
data_Gd6Fe23
_chemical_formula_sum 'Gd24 Fe92'
_cell_length_a 11.7858
_cell_length_b 11.7858
_cell_length_c 11.7858
_cell_angle_alpha 90.00
_cell_angle_beta 90.00
_cell_angle_gamma 90.00
_symmetry_space_group_name_H-M 'F m -3 m'
_symmetry_Int_Tables_number 225
_symmetry_space_group_name_Hall '-F 4 2 3'
loop_
_atom_site_label
_atom_site_type_symbol
_atom_site_fract_x
_atom_site_fract_y
_atom_site_fract_z
Gd1 Gd 0.0000 0.0000 0.2090
Fe1 Fe 0.0000 0.0000 0.5000
Fe2 Fe 0.0000 0.2500 0.2500
Fe3 Fe 0.1226 0.1226 0.3774
Fe4 Fe 0.1804 0.1804 0.1804
```

***

Starting from a GGA-PBE-relaxed structure, the powder diffraction line list of Gd2Fe17 was simulated for Cu Kα (weighted mean of Kα1 and Kα2).
Neutral-atom scattering factors, no anomalous dispersion.

Peak list (6 most intense, 2θ = 10–90°, sorted by position)
| 2θ (°) | Rel. int. | index |
| --- | --- | --- |
| 30.1 | 39.2 | 1 1 3 |
| 36.5 | 42.1 | 3 0 0 |
| 37.9 | 26.2 | 0 2 4 |
| 42.4 | 61.5 | 2 2 0 |
| 42.8 | 100.0 | 3 0 3 |
| 43.9 | 30.8 | 0 0 6 |

Structural model:
```
data_Gd2Fe17
_chemical_formula_sum 'Gd6 Fe51'
_cell_length_a 8.5332
_cell_length_b 8.5332
_cell_length_c 12.3741
_cell_angle_alpha 90.00
_cell_angle_beta 90.00
_cell_angle_gamma 120.00
_symmetry_space_group_name_H-M 'R -3 m'
_symmetry_Int_Tables_number 166
_symmetry_space_group_name_Hall '-R 3 2"'
loop_
_atom_site_label
_atom_site_type_symbol
_atom_site_fract_x
_atom_site_fract_y
_atom_site_fract_z
Gd1 Gd 0.0000 0.0000 0.1593
Fe1 Fe 0.0000 0.0000 0.4031
Fe2 Fe 0.0000 0.2934 0.5000
Fe3 Fe 0.0000 0.5000 0.0000
Fe4 Fe 0.0010 0.5005 0.3441
```

***

Starting from a GGA-PBE-relaxed structure, the powder diffraction line list of GdFe2Ge2 was simulated for Cu Kα (weighted mean of Kα1 and Kα2).
Neutral-atom scattering factors, no anomalous dispersion.

Peak list (6 most intense, 2θ = 10–90°, sorted by position)
| 2θ (°) | Rel. int. | index |
| --- | --- | --- |
| 31.8 | 58.0 | 1 -1 0 |
| 33.8 | 87.2 | 1 0 -2 |
| 36.0 | 100.0 | 1 1 0 |
| 36.2 | 92.9 | 1 -1 1 |
| 45.5 | 54.4 | 0 2 -1 |
| 45.6 | 54.1 | 2 0 -1 |

Structural model:
```
data_GdFe2Ge2
_chemical_formula_sum 'Gd1 Fe2 Ge2'
_cell_length_a 3.9751
_cell_length_b 3.9853
_cell_length_c 6.0240
_cell_angle_alpha 108.85
_cell_angle_beta 109.14
_cell_angle_gamma 90.03
_symmetry_space_group_name_H-M 'P -1'
_symmetry_Int_Tables_number 2
loop_
_symmetry_equiv_pos_as_xyz
'x,y,z'
'-x,-y,-z'
loop_
_atom_site_label
_atom_site_type_symbol
_atom_site_fract_x
_atom_site_fract_y
_atom_site_fract_z
Gd1 Gd 0.0000 0.0000 0.0000
Fe1 Fe 0.2465 0.7579 0.4999
Ge1 Ge 0.3824 0.3858 0.7627
```

***

Starting from a GGA-PBE-relaxed structure, the powder diffraction line list of Gd2Fe17H3 was simulated for Cu Kα (weighted mean of Kα1 and Kα2).
Neutral-atom scattering factors, no anomalous dispersion.

Peak list (6 most intense, 2θ = 10–90°, sorted by position)
| 2θ (°) | Rel. int. | index |
| --- | --- | --- |
| 30.3 | 42.6 | 1 1 3 |
| 36.2 | 42.0 | 3 0 0 |
| 38.2 | 30.7 | 0 2 4 |
| 42.0 | 71.1 | 2 2 0 |
| 42.7 | 100.0 | 3 0 3 |
| 44.8 | 31.8 | 0 0 6 |

Structural model:
```
data_Gd2Fe17H3
_chemical_formula_sum 'Gd6 Fe51 H9'
_cell_length_a 8.5967
_cell_length_b 8.5967
_cell_length_c 12.1486
_cell_angle_alpha 90.00
_cell_angle_beta 90.00
_cell_angle_gamma 120.00
_symmetry_space_group_name_H-M 'R -3 m'
_symmetry_Int_Tables_number 166
_symmetry_space_group_name_Hall '-R 3 2"'
loop_
_atom_site_label
_atom_site_type_symbol
_atom_site_fract_x
_atom_site_fract_y
_atom_site_fract_z
Gd1 Gd 0.0000 0.0000 0.1571
Fe1 Fe 0.0000 0.0000 0.4022
Fe2 Fe 0.0000 0.2846 0.5000
Fe3 Fe 0.0000 0.5000 0.0000
Fe4 Fe 0.0028 0.5014 0.3439
H1 H 0.0000 0.5000 0.5000
```

***

Starting from a GGA-PBE-relaxed structure, the powder diffraction line list of GdFe10Mo2N was simulated for Cu Kα (weighted mean of Kα1 and Kα2).
Neutral-atom scattering factors, no anomalous dispersion.

Peak list (6 most intense, 2θ = 10–90°, sorted by position)
| 2θ (°) | Rel. int. | index |
| --- | --- | --- |
| 36.2 | 52.5 | 1 0 3 |
| 41.6 | 57.3 | 0 0 4 |
| 42.1 | 100.0 | 0 4 0 |
| 42.2 | 98.9 | 1 3 2 |
| 43.1 | 73.4 | 2 0 2 |
| 43.2 | 50.0 | 2 2 0 |

Structural model:
```
data_GdFe10Mo2N
_chemical_formula_sum 'Gd2 Fe20 Mo4 N2'
_cell_length_a 4.7929
_cell_length_b 8.5901
_cell_length_c 8.6895
_cell_angle_alpha 90.00
_cell_angle_beta 90.00
_cell_angle_gamma 90.00
_symmetry_space_group_name_H-M 'I m m m'
_symmetry_Int_Tables_number 71
_symmetry_space_group_name_Hall '-I 2 2'
loop_
_atom_site_label
_atom_site_type_symbol
_atom_site_fract_x
_atom_site_fract_y
_atom_site_fract_z
Gd1 Gd 0.0000 0.0000 0.0000
Fe1 Fe 0.0000 0.0000 0.3602
Fe2 Fe 0.0000 0.2782 0.5000
Fe3 Fe 0.0000 0.5000 0.2798
Fe4 Fe 0.2500 0.2500 0.2500
Mo1 Mo 0.0000 0.3574 0.0000
N1 N 0.0000 0.5000 0.5000
```

***

Starting from a GGA-PBE-relaxed structure, the powder diffraction line list of Gd2Fe5Si8 was simulated for Cu Kα (weighted mean of Kα1 and Kα2).
Neutral-atom scattering factors, no anomalous dispersion.

Peak list (6 most intense, 2θ = 10–90°, sorted by position)
| 2θ (°) | Rel. int. | index |
| --- | --- | --- |
| 27.1 | 33.3 | 1 0 1 |
| 31.2 | 100.0 | 0 1 3 |
| 38.2 | 49.0 | 1 0 5 |
| 42.4 | 37.9 | 0 1 6 |
| 46.8 | 71.2 | 1 1 0 |
| 57.2 | 23.7 | 1 0 9 |

Structural model:
```
data_Gd2Fe5Si8
_chemical_formula_sum 'Gd2 Fe5 Si8'
_cell_length_a 3.8810
_cell_length_b 3.8810
_cell_length_c 16.5268
_cell_angle_alpha 90.00
_cell_angle_beta 90.00
_cell_angle_gamma 120.00
_symmetry_space_group_name_H-M 'P -3 m 1'
_symmetry_Int_Tables_number 164
_symmetry_space_group_name_Hall '-P 3 2"'
loop_
_atom_site_label
_atom_site_type_symbol
_atom_site_fract_x
_atom_site_fract_y
_atom_site_fract_z
Gd1 Gd 0.3333 0.6667 0.2463
Fe1 Fe 0.0000 0.0000 0.5000
Fe2 Fe 0.3333 0.6667 0.5950
Fe3 Fe 0.3333 0.6667 0.9012
Si1 Si 0.0000 0.0000 0.1283
Si2 Si 0.0000 0.0000 0.3583
Si3 Si 0.3333 0.6667 0.0421
Si4 Si 0.3333 0.6667 0.4485
```

***

Starting from a GGA-PBE-relaxed structure, the powder diffraction line list of GdFe2Si2 was simulated for Cu Kα (weighted mean of Kα1 and Kα2).
Neutral-atom scattering factors, no anomalous dispersion.

Peak list (6 most intense, 2θ = 10–90°, sorted by position)
| 2θ (°) | Rel. int. | index |
| --- | --- | --- |
| 24.2 | 56.3 | 1 0 1 |
| 36.0 | 62.6 | 1 0 3 |
| 37.0 | 100.0 | 1 1 2 |
| 45.6 | 41.9 | 2 0 0 |
| 59.4 | 28.9 | 2 1 3 |
| 78.6 | 20.7 | 3 1 2 |

Structural model:
```
data_GdFe2Si2
_chemical_formula_sum 'Gd2 Fe4 Si4'
_cell_length_a 3.9766
_cell_length_b 3.9766
_cell_length_c 9.6160
_cell_angle_alpha 90.00
_cell_angle_beta 90.00
_cell_angle_gamma 90.00
_symmetry_space_group_name_H-M 'I 4/m m m'
_symmetry_Int_Tables_number 139
_symmetry_space_group_name_Hall '-I 4 2'
loop_
_atom_site_label
_atom_site_type_symbol
_atom_site_fract_x
_atom_site_fract_y
_atom_site_fract_z
Gd1 Gd 0.0000 0.0000 0.0000
Fe1 Fe 0.0000 0.5000 0.2500
Si1 Si 0.0000 0.0000 0.3649
```

***

Starting from a GGA-PBE-relaxed structure, the powder diffraction line list of GdV2Fe10 was simulated for Cu Kα (weighted mean of Kα1 and Kα2).
Neutral-atom scattering factors, no anomalous dispersion.

Peak list (6 most intense, 2θ = 10–90°, sorted by position)
| 2θ (°) | Rel. int. | index |
| --- | --- | --- |
| 30.3 | 57.6 | 1 2 1 |
| 42.5 | 44.4 | 0 0 4 |
| 42.9 | 100.0 | 0 4 0 |
| 43.1 | 69.3 | 1 3 2 |
| 44.0 | 92.7 | 2 0 2 |
| 49.2 | 32.7 | 2 2 2 |

Structural model:
```
data_GdV2Fe10
_chemical_formula_sum 'Gd2 V4 Fe20'
_cell_length_a 4.7064
_cell_length_b 8.4363
_cell_length_c 8.5081
_cell_angle_alpha 90.00
_cell_angle_beta 90.00
_cell_angle_gamma 90.00
_symmetry_space_group_name_H-M 'I m m m'
_symmetry_Int_Tables_number 71
_symmetry_space_group_name_Hall '-I 2 2'
loop_
_atom_site_label
_atom_site_type_symbol
_atom_site_fract_x
_atom_site_fract_y
_atom_site_fract_z
Gd1 Gd 0.0000 0.0000 0.0000
V1 V 0.0000 0.0000 0.3589
Fe1 Fe 0.0000 0.2742 0.5000
Fe2 Fe 0.0000 0.3596 0.0000
Fe3 Fe 0.0000 0.5000 0.2722
Fe4 Fe 0.2500 0.2500 0.2500
```